# PrCoP
Theoretical powder X-ray diffraction pattern, λ = 1.5418 Å (Cu Kα). Input: a DFT-relaxed cell (PBE, the Materials Project).

The 10 most intense peaks (10 to 80 degrees two-theta), in order of rising 2θ:
2theta, I/Imax, (hkl)
25.64, 100, 1 0 1
32.51, 28, 1 1 0
32.73, 59, 1 0 2
34.60, 32, 1 1 1
40.29, 90, 1 1 2
46.64, 46, 2 0 0
53.14, 28, 1 0 4
53.98, 27, 2 1 1
58.15, 22, 2 1 2
73.36, 22, 2 1 4

Structure:
```
data_PrCoP
_cell_length_a 3.895
_cell_length_b 3.895
_cell_length_c 7.688
_cell_angle_alpha 90.00
_cell_angle_beta 90.00
_cell_angle_gamma 90.00
_space_group_name_H-M_alt 'P 4/n m m'
_space_group_IT_number 129
loop_
_space_group_symop_operation_xyz
'x,y,z'
'-x,-y,-z'
'-y+1/2,x,z'
'y+1/2,-x,-z'
'-x+1/2,-y+1/2,z'
'x+1/2,y+1/2,-z'
'y,-x+1/2,z'
'-y,x+1/2,-z'
'x+1/2,-y,-z'
'-x+1/2,y,z'
'-y,-x,-z'
'y,x,z'
'-x,y+1/2,-z'
'x,-y+1/2,z'
'y+1/2,x+1/2,-z'
'-y+1/2,-x+1/2,z'
loop_
_atom_site_label
_atom_site_fract_x
_atom_site_fract_y
_atom_site_fract_z
_atom_site_occupancy
Pr1 0.250 0.250 0.199 1
Co1 0.250 0.750 0.500 1
P1 0.250 0.250 0.656 1
```


# HoMn2Ge2
Theoretical powder X-ray diffraction pattern, λ = 1.5418 Å (Cu Kα). Input: a DFT-relaxed cell (PBE, the Materials Project).

The 10 most intense peaks (10 to 80 degrees two-theta), in order of rising 2θ:
2theta, I/Imax, (hkl)
32.24, 34, 1 1 0
33.68, 97, 1 0 3
36.34, 100, 1 1 2
46.24, 55, 2 0 0
47.86, 46, 1 0 5
58.42, 40, 2 1 3
61.12, 14, 1 1 6
67.47, 17, 2 2 0
68.75, 31, 2 1 5
79.13, 19, 3 1 2

Structure:
```
data_HoMn2Ge2
_cell_length_a 3.926
_cell_length_b 3.926
_cell_length_c 10.859
_cell_angle_alpha 90.00
_cell_angle_beta 90.00
_cell_angle_gamma 90.00
_space_group_name_H-M_alt 'I 4/m m m'
_space_group_IT_number 139
_space_group_name_Hall '-I 4 2'
loop_
_atom_site_label
_atom_site_fract_x
_atom_site_fract_y
_atom_site_fract_z
_atom_site_occupancy
Ho1 0.000 0.000 0.000 1
Mn1 0.000 0.500 0.250 1
Ge1 0.000 0.000 0.382 1
```


# CeSe2
Theoretical powder X-ray diffraction pattern, λ = 1.5418 Å (Cu Kα). Input: a DFT-relaxed cell (PBE, the Materials Project).

The 10 most intense peaks (10 to 80 degrees two-theta), in order of rising 2θ:
2theta, I/Imax, (hkl)
13.07, 96, 1 1 0
13.25, 100, 0 1 1
18.95, 18, 1 2 0
20.90, 20, 2 0 0
21.38, 24, 0 0 2
21.78, 29, 1 2 1
33.31, 14, 0 1 3
37.72, 21, 1 2 3
41.65, 15, 1 5 0
45.69, 13, 1 1 4

Structure:
```
data_CeSe2
_cell_length_a 8.499
_cell_length_b 11.223
_cell_length_c 8.312
_cell_angle_alpha 90.00
_cell_angle_beta 90.00
_cell_angle_gamma 90.00
_space_group_name_H-M_alt 'P n a 21'
_space_group_IT_number 33
loop_
_space_group_symop_operation_xyz
'x,y,z'
'-x,-y,z+1/2'
'-x+1/2,y+1/2,z+1/2'
'x+1/2,-y+1/2,z'
loop_
_atom_site_label
_atom_site_fract_x
_atom_site_fract_y
_atom_site_fract_z
_atom_site_occupancy
Ce1 0.052 0.125 0.000 1
Se1 0.028 0.067 0.317 1
Se2 0.147 0.691 0.433 1
```


# LiAsSe2
Theoretical powder X-ray diffraction pattern, λ = 1.5418 Å (Cu Kα). Input: a DFT-relaxed cell (PBE, the Materials Project).

The 10 most intense peaks (10 to 80 degrees two-theta), in order of rising 2θ:
2theta, I/Imax, (hkl)
15.37, 62, 2 0 0
22.51, 49, 1 1 -1
26.76, 88, 1 1 1
31.03, 89, 4 0 0
31.82, 100, 2 0 -2
32.28, 99, 0 2 0
45.39, 57, 4 2 0
45.96, 66, 2 2 -2
46.60, 36, 6 0 -2
51.95, 37, 5 1 1

Structure:
```
data_LiAsSe2
_cell_length_a 12.514
_cell_length_b 5.547
_cell_length_c 5.637
_cell_angle_alpha 90.00
_cell_angle_beta 112.90
_cell_angle_gamma 90.00
_space_group_name_H-M_alt 'C 1 c 1'
_space_group_IT_number 9
loop_
_space_group_symop_operation_xyz
'x,y,z'
'x,-y,z+1/2'
'x+1/2,y+1/2,z'
'x+1/2,-y+1/2,z+1/2'
loop_
_atom_site_label
_atom_site_fract_x
_atom_site_fract_y
_atom_site_fract_z
_atom_site_occupancy
Li1 0.000 0.239 0.000 1
As1 0.214 0.277 0.666 1
Se1 0.010 0.260 0.513 1
Se2 0.257 0.273 0.265 1
```


# K2EuF5
Theoretical powder X-ray diffraction pattern, λ = 1.5418 Å (Cu Kα). Input: a DFT-relaxed cell (PBE, the Materials Project).

The 10 most intense peaks (10 to 80 degrees two-theta), in order of rising 2θ:
2theta, I/Imax, (hkl)
15.36, 100, 1 0 1
15.86, 49, 2 0 0
26.48, 31, 0 0 2
27.36, 66, 3 0 1
28.12, 84, 1 2 1
28.40, 53, 2 2 0
39.22, 44, 2 2 2
40.06, 31, 4 2 0
45.14, 26, 2 1 3
49.19, 33, 5 2 1

Structure:
```
data_K2EuF5
_cell_length_a 11.174
_cell_length_b 7.600
_cell_length_c 6.733
_cell_angle_alpha 90.00
_cell_angle_beta 90.00
_cell_angle_gamma 90.00
_space_group_name_H-M_alt 'P n m a'
_space_group_IT_number 62
loop_
_space_group_symop_operation_xyz
'x,y,z'
'-x,-y,-z'
'-x+1/2,-y,z+1/2'
'x+1/2,y,-z+1/2'
'x+1/2,-y+1/2,-z+1/2'
'-x+1/2,y+1/2,z+1/2'
'-x,y+1/2,-z'
'x,-y+1/2,z'
loop_
_atom_site_label
_atom_site_fract_x
_atom_site_fract_y
_atom_site_fract_z
_atom_site_occupancy
K1 0.172 0.002 0.025 1
Eu1 0.000 0.250 0.561 1
F1 0.011 0.250 0.905 1
F2 0.083 0.531 0.644 1
F3 0.166 0.250 0.364 1
F4 0.194 0.750 0.328 1
```


# BaIn2Cu2
Theoretical powder X-ray diffraction pattern, λ = 1.5418 Å (Cu Kα). Input: a DFT-relaxed cell (PBE, the Materials Project).

The 10 most intense peaks (10 to 80 degrees two-theta), in order of rising 2θ:
2theta, I/Imax, (hkl)
30.17, 33, 1 0 3
31.81, 100, 1 1 2
39.77, 46, 2 0 0
41.72, 17, 1 1 4
43.40, 19, 1 0 5
50.72, 15, 2 1 3
54.97, 13, 1 1 6
57.51, 15, 2 2 0
60.31, 14, 2 1 5
67.23, 22, 3 1 2

Structure:
```
data_BaIn2Cu2
_cell_length_a 4.533
_cell_length_b 4.533
_cell_length_c 11.742
_cell_angle_alpha 90.00
_cell_angle_beta 90.00
_cell_angle_gamma 90.00
_space_group_name_H-M_alt 'I 4/m m m'
_space_group_IT_number 139
_space_group_name_Hall '-I 4 2'
loop_
_atom_site_label
_atom_site_fract_x
_atom_site_fract_y
_atom_site_fract_z
_atom_site_occupancy
Ba1 0.000 0.000 0.000 1
In1 0.000 0.500 0.250 1
Cu1 0.000 0.000 0.387 1
```


Question: Number 6 is which compound?
Answer: BaIn2Cu2


Copy entry 2 word for word.
# HoMn2Ge2
Theoretical powder X-ray diffraction pattern, λ = 1.5418 Å (Cu Kα). Input: a DFT-relaxed cell (PBE, the Materials Project).

The 10 most intense peaks (10 to 80 degrees two-theta), in order of rising 2θ:
2theta, I/Imax, (hkl)
32.24, 34, 1 1 0
33.68, 97, 1 0 3
36.34, 100, 1 1 2
46.24, 55, 2 0 0
47.86, 46, 1 0 5
58.42, 40, 2 1 3
61.12, 14, 1 1 6
67.47, 17, 2 2 0
68.75, 31, 2 1 5
79.13, 19, 3 1 2

Structure:
```
data_HoMn2Ge2
_cell_length_a 3.926
_cell_length_b 3.926
_cell_length_c 10.859
_cell_angle_alpha 90.00
_cell_angle_beta 90.00
_cell_angle_gamma 90.00
_space_group_name_H-M_alt 'I 4/m m m'
_space_group_IT_number 139
_space_group_name_Hall '-I 4 2'
loop_
_atom_site_label
_atom_site_fract_x
_atom_site_fract_y
_atom_site_fract_z
_atom_site_occupancy
Ho1 0.000 0.000 0.000 1
Mn1 0.000 0.500 0.250 1
Ge1 0.000 0.000 0.382 1
```